Theoretical X-ray diffraction stick pattern of CaAg3P3O13 for λ = 1.5418 Å (Cu Kα), from a cell relaxed with GGA-PBE.

Atomic structure:
a = 7.7272 Å, b = 6.6082 Å, c = 10.7773 Å
α = 90.00°, β = 100.71°, γ = 90.00°
Atoms (fractional coordinates):
Ca 0.2085 0.2500 0.1839
Ca 0.7915 0.7500 0.8161
Ag 0.2245 0.2500 0.7459
Ag 0.2370 0.7500 0.4064
Ag 0.5000 0.0000 0.0000
Ag 0.5000 0.5000 0.0000
Ag 0.7630 0.2500 0.5936
Ag 0.7755 0.7500 0.2541
P 0.1745 0.7500 0.0903
P 0.2565 0.2500 0.4851
P 0.2975 0.7500 0.7227
P 0.7025 0.2500 0.2773
P 0.7435 0.7500 0.5149
P 0.8255 0.2500 0.9097
O 0.0247 0.7500 0.9794
O 0.0977 0.2500 0.5581
O 0.1002 0.7500 0.2166
O 0.1795 0.5687 0.7465
O 0.1795 0.9313 0.7465
O 0.2396 0.0713 0.3880
O 0.2396 0.4287 0.3880
O 0.2947 0.5578 0.0984
O 0.2947 0.9422 0.0984
O 0.3565 0.2500 0.9293
O 0.3568 0.7500 0.5918
O 0.4190 0.2500 0.5908
O 0.4774 0.7500 0.8118
O 0.5226 0.2500 0.1882
O 0.5810 0.7500 0.4092
O 0.6432 0.2500 0.4082
O 0.6435 0.7500 0.0707
O 0.7053 0.0578 0.9016
O 0.7053 0.4422 0.9016
O 0.7604 0.5713 0.6120
O 0.7604 0.9287 0.6120
O 0.8205 0.0687 0.2535
O 0.8205 0.4313 0.2535
O 0.8998 0.2500 0.7834
O 0.9023 0.7500 0.4419
O 0.9753 0.2500 0.0206

The 10 most intense peaks (15° ≤ 2θ ≤ 90°), by angle:
15.81°, intensity 44.8, (0 1 1); 23.41°, intensity 100.0, (2 0 0); 27.00°, intensity 68.4, (0 2 0); 28.29°, intensity 39.9, (0 2 1); 29.83°, intensity 70.7, (1 0 3); 31.28°, intensity 39.6, (2 0 -3); 36.03°, intensity 59.1, (2 2 0); 37.67°, intensity 31.1, (1 2 -3); 39.78°, intensity 28.0, (3 0 -3); 55.90°, intensity 31.1, (3 2 3)